This entry pairs a crystal structure of Ti4PtC with its simulated powder diffractogram. Radiation: Cu Kα (weighted mean of Kα1 and Kα2). Structure: a crystal structure in Alexandria, relaxed with GGA-PBE.
Intensities are scaled so that the largest is 100.

Structural model:
```
data_Ti4PtC
_cell_length_a 4.2773
_cell_length_b 7.7926
_cell_length_c 5.9402
_cell_angle_alpha 90.00
_cell_angle_beta 90.00
_cell_angle_gamma 90.00
_space_group_name_H-M_alt 'P m m n'
_space_group_IT_number 59
loop_
_space_group_symop_operation_xyz
'x,y,z'
'-x,-y,-z'
'-x+1/2,-y+1/2,z'
'x+1/2,y+1/2,-z'
'x+1/2,-y,-z'
'-x+1/2,y,z'
'-x,y+1/2,-z'
'x,-y+1/2,z'
loop_
_atom_site_label
_atom_site_type_symbol
_atom_site_fract_x
_atom_site_fract_y
_atom_site_fract_z
Ti1 Ti 0.2500 0.0461 0.2118
Ti2 Ti 0.2500 0.2500 0.7498
Ti3 Ti 0.2500 0.7500 0.5763
Pt1 Pt 0.2500 0.7500 0.0141
C1 C 0.2500 0.2500 0.4201
```

Top 10 peaks for 2θ = 10–80°, by angle:
(0 0 1), 14.9 deg, d 5.940, rel. 80; (0 2 0), 22.8 deg, d 3.896, rel. 59; (1 1 0), 23.7 deg, d 3.750, rel. 51; (1 1 1), 28.1 deg, d 3.171, rel. 67; (1 2 1), 34.6 deg, d 2.592, rel. 27; (0 2 2), 38.1 deg, d 2.362, rel. 39; (1 1 2), 38.7 deg, d 2.328, rel. 100; (1 3 0), 40.6 deg, d 2.220, rel. 35; (2 0 0), 42.3 deg, d 2.139, rel. 37; (1 3 1), 43.5 deg, d 2.080, rel. 28